Record 1
SrTl3Au: computed powder X-ray diffraction pattern (Cu Kα (λ = 1.5418 Å)), based on a GGA-PBE-relaxed structure.

Top 10 peaks for 10° ≤ 2θ ≤ 90°, most intense first:
| Position (°2θ) | I/Imax |
| --- | --- |
| 30.1 | 100 |
| 29.6 | 71 |
| 38.3 | 65 |
| 33.4 | 55 |
| 37.3 | 45 |
| 11.3 | 38 |
| 39.4 | 35 |
| 39.0 | 35 |
| 35.8 | 34 |
| 54.5 | 31 |

Cell and atoms:
a b c (Å): 10.1491 4.6973 12.4228
angles (deg): 90.00 90.00 90.00
Element x y z (fractional)
Sr: 0.2061 0.2500 0.0042
Sr: 0.2939 0.7500 0.5042
Sr: 0.7061 0.2500 0.4958
Sr: 0.7939 0.7500 0.9958
Tl: 0.0603 0.2500 0.3994
Tl: 0.0926 0.7500 0.1963
Tl: 0.1486 0.7500 0.7979
Tl: 0.3514 0.2500 0.2979
Tl: 0.4074 0.2500 0.6963
Tl: 0.4397 0.7500 0.8994
Tl: 0.5603 0.2500 0.1006
Tl: 0.5926 0.7500 0.3037
Tl: 0.6486 0.7500 0.7021
Tl: 0.8514 0.2500 0.2021
Tl: 0.9074 0.2500 0.8037
Tl: 0.9397 0.7500 0.6006
Au: 0.1275 0.2500 0.6338
Au: 0.3725 0.7500 0.1338
Au: 0.6275 0.2500 0.8662
Au: 0.8725 0.7500 0.3662

Record 2
SrTl3Au8: computed powder X-ray diffraction pattern (Cu Kα (λ = 1.5418 Å)), based on a GGA-PBE-relaxed structure.

Top 10 peaks for 10° ≤ 2θ ≤ 90°, most intense first:
| Position (°2θ) | I/Imax |
| --- | --- |
| 36.7 | 100 |
| 38.6 | 70 |
| 36.2 | 53 |
| 37.0 | 50 |
| 64.2 | 31 |
| 65.6 | 30 |
| 59.1 | 26 |
| 59.5 | 25 |
| 37.6 | 24 |
| 30.8 | 23 |

Cell and atoms:
a b c (Å): 10.1256 10.1256 10.1256
angles (deg): 32.63 32.63 32.63
Element x y z (fractional)
Sr: 0.0000 0.0000 0.0000
Tl: 0.3816 0.3816 0.3816
Tl: 0.5016 0.5016 0.5016
Tl: 0.8720 0.8720 0.8720
Au: 0.1869 0.1869 0.1869
Au: 0.4361 0.9365 0.9365
Au: 0.4371 0.4371 0.9402
Au: 0.4371 0.9402 0.4371
Au: 0.6866 0.6866 0.6866
Au: 0.9365 0.4361 0.9365
Au: 0.9365 0.9365 0.4361
Au: 0.9402 0.4371 0.4371

Record 3
Sr2TlZn3Au4: computed powder X-ray diffraction pattern (Cu Kα (λ = 1.5418 Å)), based on a GGA-PBE-relaxed structure.

Top 10 peaks for 10° ≤ 2θ ≤ 90°, most intense first:
| Position (°2θ) | I/Imax |
| --- | --- |
| 32.1 | 100 |
| 39.8 | 56 |
| 42.6 | 42 |
| 67.4 | 24 |
| 21.1 | 22 |
| 57.5 | 19 |
| 44.7 | 18 |
| 15.6 | 18 |
| 30.8 | 17 |
| 74.1 | 16 |

Cell and atoms:
a b c (Å): 4.5316 4.5316 11.3476
angles (deg): 90.00 90.00 90.00
Element x y z (fractional)
Sr: 0.0000 0.5000 0.2365
Sr: 0.5000 0.0000 0.7635
Tl: 0.0000 0.0000 0.5000
Zn: 0.0000 0.5000 0.8814
Zn: 0.5000 0.0000 0.1186
Zn: 0.5000 0.5000 0.5000
Au: 0.0000 0.0000 0.0000
Au: 0.0000 0.5000 0.6557
Au: 0.5000 0.0000 0.3443
Au: 0.5000 0.5000 0.0000

Record 4
SrZn2Au: computed powder X-ray diffraction pattern (Cu Kα (λ = 1.5418 Å)), based on a GGA-PBE-relaxed structure.

Top 10 peaks for 10° ≤ 2θ ≤ 90°, most intense first:
| Position (°2θ) | I/Imax |
| --- | --- |
| 39.9 | 100 |
| 16.3 | 80 |
| 31.7 | 64 |
| 35.9 | 61 |
| 23.4 | 51 |
| 43.4 | 43 |
| 52.7 | 42 |
| 33.0 | 26 |
| 61.7 | 26 |
| 54.7 | 18 |

Cell and atoms:
a b c (Å): 7.8372 4.5190 6.0146
angles (deg): 90.00 115.63 90.00
Element x y z (fractional)
Sr: 0.0000 0.0000 0.0000
Sr: 0.5000 0.5000 0.0000
Zn: 0.0088 0.5000 0.5271
Zn: 0.3035 0.5000 0.4107
Zn: 0.5088 0.0000 0.5271
Zn: 0.8035 0.0000 0.4107
Au: 0.1984 0.0000 0.5958
Au: 0.6984 0.5000 0.5958